1.
SmB2Rh3: simulated X-ray powder pattern (Cu Kα), based on a DFT-relaxed cell (GGA-PBE, the Materials Project).

Top 10 peaks for 15° ≤ 2θ ≤ 90°, in order of falling intensity:
- (2 0 0), 37.93 deg, I = 100
- (1 0 1), 34.28 deg, I = 77
- (1 1 1), 43.89 deg, I = 46
- (2 1 1), 59.37 deg, I = 32
- (2 0 2), 72.22 deg, I = 30
- (2 2 0), 68.51 deg, I = 19
- (2 0 1), 48.09 deg, I = 14
- (3 1 1), 78.89 deg, I = 14
- (3 0 1), 66.18 deg, I = 13
- (4 0 0), 81.08 deg, I = 11

```
data_SmB2Rh3
_space_group_name_H-M_alt 'P 6/m m m'
_space_group_IT_number 191
_space_group_name_Hall '-P 6 2'
_cell_length_a 5.4783
_cell_length_b 5.4783
_cell_length_c 3.1359
_cell_angle_alpha 90.00
_cell_angle_beta 90.00
_cell_angle_gamma 120.00
loop_
_atom_site_label
_atom_site_fract_x
_atom_site_fract_y
_atom_site_fract_z
Sm1 0.0000 0.0000 0.0000
B1 0.3333 0.6667 0.0000
Rh1 0.0000 0.5000 0.5000
```

2.
ScRhO3: simulated X-ray powder pattern (Cu Kα), based on a DFT-relaxed cell (GGA-PBE, the Materials Project).

Top 10 peaks for 15° ≤ 2θ ≤ 90°, in order of falling intensity:
- (1 2 1), 33.58 deg, I = 100
- (1 0 1), 23.65 deg, I = 34
- (1 2 3), 61.91 deg, I = 22
- (2 0 0), 32.31 deg, I = 22
- (0 0 2), 35.03 deg, I = 19
- (2 0 2), 48.39 deg, I = 18
- (3 2 1), 58.43 deg, I = 15
- (0 2 0), 23.49 deg, I = 14
- (1 4 1), 54.21 deg, I = 13
- (2 2 2), 54.47 deg, I = 13

```
data_ScRhO3
_space_group_name_H-M_alt 'P n m a'
_space_group_IT_number 62
_space_group_name_Hall '-P 2ac 2n'
_cell_length_a 5.542
_cell_length_b 7.574
_cell_length_c 5.123
_cell_angle_alpha 90.00
_cell_angle_beta 90.00
_cell_angle_gamma 90.00
loop_
_atom_site_label
_atom_site_fract_x
_atom_site_fract_y
_atom_site_fract_z
Sc1 0.081 0.250 0.034
Rh1 0.000 0.000 0.500
O1 0.072 0.750 0.346
O2 0.184 0.577 0.828
```

3.
MgTe2Mo2WSe2S2: simulated X-ray powder pattern (Cu Kα), based on a DFT-relaxed cell (GGA-PBE, the Materials Project).

Top 10 peaks for 15° ≤ 2θ ≤ 90°, in order of falling intensity:
- (1 0 0), 30.71 deg, I = 100
- (2 -1 0), 54.59 deg, I = 82
- (1 0 -11), 41.65 deg, I = 53
- (1 0 11), 42.17 deg, I = 46
- (1 0 7), 35.80 deg, I = 40
- (1 0 6), 34.54 deg, I = 33
- (1 -1 7), 35.42 deg, I = 31
- (1 0 10), 40.40 deg, I = 27
- (1 0 -9), 38.28 deg, I = 26
- (0 1 -11), 41.38 deg, I = 25

```
data_MgTe2Mo2WSe2S2
_space_group_name_H-M_alt 'P 1'
_space_group_IT_number 1
_space_group_name_Hall 'P 1'
_cell_length_a 3.362
_cell_length_b 3.364
_cell_length_c 35.283
_cell_angle_alpha 91.15
_cell_angle_beta 90.05
_cell_angle_gamma 119.97
loop_
_atom_site_label
_atom_site_fract_x
_atom_site_fract_y
_atom_site_fract_z
Mg1 0.000 0.000 0.000
Te1 0.015 0.027 0.391
Te2 0.999 0.997 0.283
Mo1 0.674 0.346 0.870
Mo2 0.998 0.995 0.113
W1 0.674 0.346 0.337
Se1 0.000 0.999 0.823
Se2 0.015 0.026 0.918
S1 0.658 0.316 0.070
S2 0.671 0.341 0.155
```

4.
NdZr9O20: simulated X-ray powder pattern (Cu Kα), based on a DFT-relaxed cell (GGA-PBE, the Materials Project).

Top 10 peaks for 15° ≤ 2θ ≤ 90°, in order of falling intensity:
- (1 0 2), 29.77 deg, I = 100
- (0 2 3), 49.59 deg, I = 39
- (2 2 2), 58.89 deg, I = 28
- (1 2 0), 34.51 deg, I = 22
- (3 0 1), 49.64 deg, I = 20
- (3 -2 3), 59.02 deg, I = 14
- (5 0 0), 80.59 deg, I = 12
- (2 0 4), 61.84 deg, I = 6
- (2 4 0), 72.71 deg, I = 6
- (4 2 1), 83.07 deg, I = 5

```
data_NdZr9O20
_space_group_name_H-M_alt 'P -1'
_space_group_IT_number 2
_space_group_name_Hall '-P 1'
_cell_length_a 6.359
_cell_length_b 7.349
_cell_length_c 8.224
_cell_angle_alpha 102.92
_cell_angle_beta 97.53
_cell_angle_gamma 106.63
loop_
_atom_site_label
_atom_site_fract_x
_atom_site_fract_y
_atom_site_fract_z
Nd1 0.000 0.000 0.000
Zr1 0.000 0.500 0.000
Zr2 0.201 0.401 0.402
Zr3 0.201 0.900 0.401
Zr4 0.400 0.301 0.799
Zr5 0.400 0.799 0.800
O1 0.050 0.238 0.841
O2 0.053 0.708 0.840
O3 0.146 0.173 0.548
O4 0.150 0.675 0.546
O5 0.258 0.626 0.250
O6 0.267 0.134 0.265
O7 0.354 0.574 0.952
O8 0.370 0.081 0.945
O9 0.446 0.025 0.647
O10 0.446 0.522 0.649
```

5.
KNaSi2O5: simulated X-ray powder pattern (Cu Kα), based on a DFT-relaxed cell (GGA-PBE, the Materials Project).

Top 10 peaks for 15° ≤ 2θ ≤ 90°, in order of falling intensity:
- (0 4 1), 28.49 deg, I = 100
- (2 0 0), 36.59 deg, I = 95
- (1 1 2), 30.80 deg, I = 83
- (1 1 -2), 30.17 deg, I = 71
- (1 3 1), 29.29 deg, I = 68
- (1 0 -2), 29.44 deg, I = 43
- (0 6 0), 39.26 deg, I = 35
- (0 4 2), 35.23 deg, I = 31
- (1 1 -1), 22.30 deg, I = 28
- (0 3 3), 40.76 deg, I = 23

```
data_KNaSi2O5
_space_group_name_H-M_alt 'P 1 21/c 1'
_space_group_IT_number 14
_space_group_name_Hall '-P 2ybc'
_cell_length_a 4.913
_cell_length_b 13.762
_cell_length_c 7.584
_cell_angle_alpha 90.00
_cell_angle_beta 91.26
_cell_angle_gamma 90.00
loop_
_atom_site_label
_atom_site_fract_x
_atom_site_fract_y
_atom_site_fract_z
K1 0.199 0.201 0.288
Na1 0.277 0.594 0.972
Si1 0.198 0.049 0.784
Si2 0.296 0.630 0.515
O1 0.125 0.570 0.667
O2 0.219 0.741 0.492
O3 0.251 0.073 0.583
O4 0.252 0.569 0.324
O5 0.377 0.115 0.929
```